(1)
RbYPaS4: simulated X-ray powder pattern (Cu Kα (λ = 1.5418 Å)), based on a DFT-relaxed cell (GGA-PBE, Alexandria).

Structural model:
a b c (Å): 8.502 8.540 11.959
angles (deg): 90.00 90.00 90.00
Space group Imma (No. 74)
Inequivalent atoms, fractional coordinates:
1 Rb 0.000 0.250 0.127 (multiplicity 4)
2 Y 0.250 0.250 0.750 (multiplicity 4)
3 Pa 0.000 0.000 0.500 (multiplicity 4)
4 S 0.000 0.042 0.726 (multiplicity 8)
5 S 0.205 0.250 0.518 (multiplicity 8)

Principal peaks in the range 2θ = 5–70°, in order of rising 2θ:
hkl, 2θ/deg, Rel. int.
1 0 1, 12.77, 94.2
2 0 0, 20.90, 20.6
1 2 1, 24.50, 100.0
1 0 3, 24.66, 50.0
0 2 2, 25.67, 33.9
2 2 0, 29.65, 38.5
0 0 4, 29.89, 19.0
3 2 1, 38.86, 51.1
1 0 5, 39.12, 24.3
0 4 0, 42.34, 15.3
2 2 4, 42.59, 74.3
1 4 5, 58.97, 20.8

(2)
Rb3Pa3SbTe8: simulated X-ray powder pattern (Cu Kα (λ = 1.5418 Å)), based on a DFT-relaxed cell (GGA-PBE, Alexandria).

Structural model:
a b c (Å): 8.9305 8.9305 26.3996
angles (deg): 90.00 90.00 120.00
Space group R-3m (No. 166, hexagonal axes)
Inequivalent atoms, fractional coordinates:
1 Rb 0.0000 0.5000 0.0000 (multiplicity 9)
2 Pa 0.0000 0.5000 0.5000 (multiplicity 9)
3 Sb 0.0000 0.0000 0.5000 (multiplicity 3)
4 Te 0.0000 0.0000 0.2347 (multiplicity 6)
5 Te 0.9996 0.4998 0.2331 (multiplicity 18)

Principal peaks in the range 2θ = 5–70°, in order of rising 2θ:
hkl, 2θ/deg, Rel. int.
0 0 3, 10.05, 54.6
0 2 4, 26.72, 100.0
0 2 7, 33.18, 21.1
2 0 8, 35.77, 35.9
2 2 0, 40.40, 36.1
2 2 3, 41.74, 11.3
2 0 11, 44.43, 14.2
4 0 4, 49.10, 19.0
0 4 8, 55.05, 10.4
2 2 12, 58.94, 10.8
2 4 4, 65.40, 16.0
2 2 15, 67.80, 8.9

(3)
Rb3PaSe8: simulated X-ray powder pattern (Cu Kα (λ = 1.5418 Å)), based on a DFT-relaxed cell (GGA-PBE, Alexandria).

Structural model:
a b c (Å): 9.075 9.075 10.255
angles (deg): 90.00 90.00 90.00
Space group I-42m (No. 121)
Inequivalent atoms, fractional coordinates:
1 Rb 0.000 0.000 0.000 (multiplicity 2)
2 Rb 0.000 0.500 0.250 (multiplicity 4)
3 Pa 0.000 0.000 0.500 (multiplicity 2)
4 Se 0.144 0.144 0.712 (multiplicity 8)
5 Se 0.224 0.224 0.500 (multiplicity 8)

Principal peaks in the range 2θ = 5–70°, in order of rising 2θ:
hkl, 2θ/deg, Rel. int.
1 0 1, 13.03, 81.3
1 1 0, 13.80, 46.7
1 1 2, 22.19, 68.7
2 1 1, 23.58, 47.9
2 2 0, 27.81, 79.9
2 2 2, 32.93, 30.5
0 0 4, 35.00, 33.6
3 1 2, 35.86, 100.0
3 2 1, 36.77, 25.2
4 0 2, 43.63, 31.0
2 2 4, 45.29, 54.2
5 1 2, 54.58, 24.9

(4)
RbPaSe4: simulated X-ray powder pattern (Cu Kα (λ = 1.5418 Å)), based on a DFT-relaxed cell (GGA-PBE, Alexandria).

Structural model:
a b c (Å): 14.960 7.561 7.656
angles (deg): 90.00 95.46 90.00
Space group C2/m (No. 12)
Inequivalent atoms, fractional coordinates:
1 Rb 0.199 0.000 0.176 (multiplicity 4)
2 Pa 0.043 0.500 0.266 (multiplicity 4)
3 Se 0.000 0.258 0.000 (multiplicity 4)
4 Se 0.079 0.249 0.544 (multiplicity 8)
5 Se 0.219 0.500 0.256 (multiplicity 4)

Principal peaks in the range 2θ = 5–70°, in order of rising 2θ:
hkl, 2θ/deg, Rel. int.
2 0 0, 11.89, 68.2
1 1 0, 13.13, 100.0
2 0 1, 17.42, 27.2
3 1 0, 21.41, 26.8
3 1 -1, 23.57, 23.4
1 1 -2, 26.36, 43.7
2 2 1, 29.43, 26.4
0 2 2, 33.39, 96.1
6 0 -1, 37.01, 36.2
4 2 -2, 40.09, 28.9
6 2 1, 46.26, 38.4
0 4 0, 48.12, 22.4

(5)
RbPaSe4: simulated X-ray powder pattern (Cu Kα (λ = 1.5418 Å)), based on a DFT-relaxed cell (GGA-PBE, Alexandria).

Structural model:
a b c (Å): 7.935 5.469 9.108
angles (deg): 90.00 94.78 90.00
Space group C2/m (No. 12)
Inequivalent atoms, fractional coordinates:
1 Rb 0.000 0.000 0.000 (multiplicity 2)
2 Pa 0.000 0.500 0.500 (multiplicity 2)
3 Se 0.105 0.500 0.785 (multiplicity 4)
4 Se 0.119 0.000 0.411 (multiplicity 4)

Principal peaks in the range 2θ = 5–70°, in order of rising 2θ:
hkl, 2θ/deg, Rel. int.
0 0 1, 9.74, 100.0
0 0 2, 19.56, 21.6
1 1 -1, 21.63, 69.8
2 0 0, 22.49, 37.3
2 0 2, 31.22, 29.8
0 2 0, 32.75, 43.3
1 1 -3, 34.95, 34.2
1 1 3, 36.57, 22.2
3 1 -1, 38.46, 61.6
2 2 0, 40.10, 16.5
1 1 -4, 43.83, 19.8
2 2 2, 45.88, 20.6

(6)
RbPa4Se12: simulated X-ray powder pattern (Cu Kα (λ = 1.5418 Å)), based on a DFT-relaxed cell (GGA-PBE, Alexandria).

Structural model:
a b c (Å): 10.977 10.977 10.977
angles (deg): 90.00 90.00 90.00
Space group Im-3 (No. 204)
Inequivalent atoms, fractional coordinates:
1 Rb 0.000 0.000 0.000 (multiplicity 2)
2 Pa 0.250 0.250 0.250 (multiplicity 8)
3 Se 0.000 0.251 0.247 (multiplicity 24)

Principal peaks in the range 2θ = 5–70°, in order of rising 2θ:
hkl, 2θ/deg, Rel. int.
2 0 0, 16.15, 100.0
2 2 0, 22.92, 30.2
4 0 0, 32.63, 54.1
4 2 0, 36.61, 54.1
4 2 2, 40.25, 14.8
4 4 0, 46.82, 39.5
4 4 2, 49.84, 28.5
6 2 0, 52.74, 7.0
4 4 4, 58.23, 13.8
6 4 0, 60.85, 12.6
6 2 4, 63.41, 8.2
8 0 0, 68.37, 6.4

> Which formula does entry 3 have?

Rb3PaSe8